1.
This entry pairs a crystal structure of Nd3Ag4Sn2 with its simulated XRD peak list. Radiation: copper Kα. Structure: the GGA-PBE geometry in Alexandria.
Intensities are scaled so that the largest is 100.

Principal peaks in the range 2θ = 15–90°, by angle:
- 2θ = 32.0°, d 2.796, intensity 48
- 2θ = 32.3°, d 2.775, intensity 100
- 2θ = 36.9°, d 2.434, intensity 72
- 2θ = 37.6°, d 2.393, intensity 37
- 2θ = 49.5°, d 1.842, intensity 14
- 2θ = 50.2°, d 1.818, intensity 26
- 2θ = 62.9°, d 1.478, intensity 22
- 2θ = 63.3°, d 1.468, intensity 22

```
Nd3Ag4Sn2
1.0
5.6372 -2.3926 0.0000
5.6372 2.3926 0.0000
-3.9250 0.0000 8.3931
Nd Ag Sn
3 4 2
Cartesian
0.0000 0.0000 0.0000
2.6023 0.0000 2.7086
4.7470 0.0000 5.6845
-0.7072 0.0000 3.5311
-0.4973 0.0000 8.0264
7.8467 0.0000 0.3667
8.0565 0.0000 4.8621
1.4604 0.0000 6.0090
5.8890 0.0000 2.3841
```



2.
This entry pairs a crystal structure of Nd2AgSn4 with its simulated XRD peak list. Radiation: copper Kα. Structure: the GGA-PBE geometry in Alexandria.
Intensities are scaled so that the largest is 100.

Principal peaks in the range 2θ = 15–90°, by angle:
- 2θ = 28.9°, d 3.091, intensity 14
- 2θ = 29.2°, d 3.056, intensity 17
- 2θ = 33.8°, d 2.654, intensity 100
- 2θ = 39.4°, d 2.289, intensity 41
- 2θ = 49.6°, d 1.840, intensity 13
- 2θ = 56.5°, d 1.629, intensity 12
- 2θ = 56.9°, d 1.619, intensity 14
- 2θ = 67.8°, d 1.382, intensity 27

```
Nd2AgSn4
1.0
4.5783 0.0000 0.0000
0.0000 4.5783 0.0000
0.0000 0.0000 9.2715
Nd Ag Sn
2 1 4
Cartesian
0.0000 2.2892 2.0758
2.2892 0.0000 7.1957
2.2892 2.2892 0.0000
0.0000 0.0000 4.6358
0.0000 2.2892 7.5492
2.2892 0.0000 1.7223
2.2892 2.2892 4.6358
```



3.
This entry pairs a crystal structure of SrNd2Ag6 with its simulated XRD peak list. Radiation: copper Kα. Structure: the GGA-PBE geometry in Alexandria.
Intensities are scaled so that the largest is 100.

Principal peaks in the range 2θ = 15–90°, by angle:
- 2θ = 32.3°, d 2.768, intensity 100
- 2θ = 37.2°, d 2.415, intensity 74
- 2θ = 50.1°, d 1.820, intensity 28
- 2θ = 63.4°, d 1.466, intensity 29
- 2θ = 64.1°, d 1.453, intensity 27
- 2θ = 67.1°, d 1.394, intensity 12
- 2θ = 87.7°, d 1.113, intensity 12
- 2θ = 88.3°, d 1.107, intensity 11

```
SrNd2Ag6
1.0
8.3668 0.0000 0.0000
-4.1834 7.2459 0.0000
0.0000 0.0000 3.6908
Sr Nd Ag
1 2 6
Cartesian
0.0000 0.0000 0.0000
0.0000 4.8306 0.0000
4.1834 2.4153 0.0000
-1.4027 2.4295 1.8454
-2.7807 4.8163 1.8454
2.8054 0.0000 1.8454
1.4027 2.4295 1.8454
5.5614 0.0000 1.8454
2.7807 4.8163 1.8454
```



4.
This entry pairs a crystal structure of TbNd2Ag3 with its simulated XRD peak list. Radiation: copper Kα. Structure: the GGA-PBE geometry in Alexandria.
Intensities are scaled so that the largest is 100.

Principal peaks in the range 2θ = 15–90°, by angle:
- 2θ = 34.0°, d 2.638, intensity 100
- 2θ = 34.3°, d 2.616, intensity 50
- 2θ = 48.4°, d 1.881, intensity 9
- 2θ = 49.3°, d 1.850, intensity 18
- 2θ = 60.6°, d 1.527, intensity 17
- 2θ = 61.2°, d 1.514, intensity 35
- 2θ = 71.5°, d 1.319, intensity 11
- 2θ = 82.5°, d 1.170, intensity 8

```
TbNd2Ag3
1.0
3.6991 0.0000 0.0000
0.0000 3.6991 0.0000
0.0000 0.0000 11.2883
Tb Nd Ag
1 2 3
Cartesian
0.0000 0.0000 0.0000
0.0000 0.0000 3.7219
0.0000 0.0000 7.5664
1.8496 1.8496 1.7500
1.8496 1.8496 5.6442
1.8496 1.8496 9.5383
```



5.
This entry pairs a crystal structure of TbNd5Ag6 with its simulated XRD peak list. Radiation: copper Kα. Structure: the GGA-PBE geometry in Alexandria.
Intensities are scaled so that the largest is 100.

Principal peaks in the range 2θ = 15–90°, by angle:
- 2θ = 33.7°, d 2.659, intensity 100
- 2θ = 33.9°, d 2.644, intensity 98
- 2θ = 34.1°, d 2.632, intensity 97
- 2θ = 48.2°, d 1.889, intensity 18
- 2θ = 48.6°, d 1.872, intensity 17
- 2θ = 60.3°, d 1.535, intensity 36
- 2θ = 60.6°, d 1.528, intensity 35
- 2θ = 61.0°, d 1.519, intensity 35

```
TbNd5Ag6
1.0
5.3152 0.0000 0.0000
0.0000 7.4013 0.0000
-2.5860 0.0000 7.9831
Tb Nd Ag
1 5 6
Cartesian
0.0000 0.0000 0.0000
0.0000 3.7006 0.0000
0.0476 3.7006 5.3016
0.0488 0.0000 5.3316
2.6805 0.0000 2.6515
2.6817 3.7006 2.6816
0.0241 1.8156 2.6063
0.0241 5.5857 2.6063
2.6576 1.7922 0.0000
2.6576 5.6091 0.0000
2.7052 1.8156 5.3769
2.7052 5.5857 5.3769
```



6.
This entry pairs a crystal structure of Nd3TcAg with its simulated XRD peak list. Radiation: copper Kα. Structure: the GGA-PBE geometry in Alexandria.
Intensities are scaled so that the largest is 100.

Principal peaks in the range 2θ = 15–90°, by angle:
- 2θ = 25.5°, d 3.488, intensity 28
- 2θ = 27.3°, d 3.265, intensity 36
- 2θ = 30.3°, d 2.950, intensity 34
- 2θ = 30.6°, d 2.924, intensity 61
- 2θ = 32.4°, d 2.765, intensity 68
- 2θ = 33.2°, d 2.701, intensity 30
- 2θ = 34.9°, d 2.572, intensity 100
- 2θ = 36.0°, d 2.496, intensity 84

```
Nd3TcAg
1.0
9.4431 0.0000 0.0000
0.0000 7.9893 0.0000
-2.8468 0.0000 7.6591
Nd Tc Ag
12 4 4
Cartesian
0.0859 0.0353 1.6561
-1.3375 3.9593 5.4857
1.0741 1.4263 4.7741
2.4975 2.5684 0.9446
1.9465 5.4333 3.7853
0.5231 6.5506 7.6148
6.0732 1.4386 0.0443
4.6498 2.5560 3.8738
4.0988 5.4209 6.7145
5.5222 6.5630 2.8850
7.9338 4.0299 2.1735
6.5104 7.9540 6.0030
2.8377 0.2060 2.7543
1.4143 3.7886 6.5839
5.1820 4.2006 1.0753
3.7586 7.7833 4.9048
0.5187 5.3284 0.3241
-0.9047 6.6555 4.1536
7.5010 1.3338 3.5055
6.0776 2.6609 7.3350
```